Cs2Tb3Cl10: calculated powder X-ray diffraction pattern (Cu Kα), based on a cell relaxed with GGA-PBE.

Largest 10 diffraction maxima, by angle, 10° ≤ 2θ ≤ 80°:
two_theta, d_spacing, intensity
17.7, 5.018, 31.3
20.4, 4.357, 100.0
20.6, 4.303, 50.9
20.8, 4.281, 77.5
31.5, 2.837, 62.6
35.8, 2.509, 24.7
37.3, 2.413, 23.4
38.7, 2.324, 30.9
41.0, 2.203, 29.1
47.5, 1.913, 38.4

Crystal structure
Cell lengths 13.3908, 13.3908, 10.8439 Å; angles 111.30, 111.30, 32.88 degrees
Atoms (fractional coordinates):
Cs (0.1176, 0.1176, 0.2308)
Cs (0.2237, 0.2237, 0.8342)
Cs (0.7763, 0.7763, 0.1658)
Cs (0.8824, 0.8824, 0.7692)
Tb (0.2394, 0.7606, 0.5000)
Tb (0.3202, 0.3202, 0.4765)
Tb (0.4227, 0.4227, 0.0279)
Tb (0.5773, 0.5773, 0.9721)
Tb (0.6798, 0.6798, 0.5235)
Tb (0.7606, 0.2394, 0.5000)
Cl (0.0000, 0.5000, 0.5000)
Cl (0.0176, 0.0176, 0.6962)
Cl (0.1051, 0.6042, 0.0191)
Cl (0.1319, 0.6476, 0.4661)
Cl (0.2675, 0.2675, 0.2240)
Cl (0.2696, 0.7304, 0.0000)
Cl (0.3524, 0.8681, 0.5339)
Cl (0.3730, 0.3730, 0.7499)
Cl (0.3958, 0.8949, 0.9809)
Cl (0.4770, 0.4770, 0.2970)
Cl (0.5000, 0.0000, 0.5000)
Cl (0.5230, 0.5230, 0.7030)
Cl (0.6042, 0.1051, 0.0191)
Cl (0.6270, 0.6270, 0.2501)
Cl (0.6476, 0.1319, 0.4661)
Cl (0.7304, 0.2696, 0.0000)
Cl (0.7325, 0.7325, 0.7760)
Cl (0.8681, 0.3524, 0.5339)
Cl (0.8949, 0.3958, 0.9809)
Cl (0.9824, 0.9824, 0.3038)

---

AsBr2Cl: calculated powder X-ray diffraction pattern (Cu Kα), based on a cell relaxed with GGA-PBE.

Largest 10 diffraction maxima, by angle, 10° ≤ 2θ ≤ 80°:
two_theta, d_spacing, intensity
13.8, 6.437, 100.0
17.8, 4.972, 30.4
19.9, 4.459, 94.5
27.7, 3.218, 51.2
29.2, 3.060, 12.1
36.0, 2.494, 19.3
38.7, 2.326, 14.4
39.0, 2.311, 33.2
42.2, 2.144, 26.8
46.1, 1.968, 12.1

Crystal structure
Cell lengths 9.7892, 9.9436, 4.9881 Å; angles 90.00, 120.38, 90.00 degrees
Atoms (fractional coordinates):
As (0.0000, 0.0000, 0.0000)
As (0.5000, 0.5000, 0.0000)
Br (0.2150, 0.8502, 0.2133)
Br (0.2850, 0.3502, 0.7867)
Br (0.7150, 0.3502, 0.2133)
Br (0.7850, 0.8502, 0.7867)
Cl (0.0000, 0.0584, 0.5000)
Cl (0.5000, 0.5584, 0.5000)

---

Na5Sn2Se6: calculated powder X-ray diffraction pattern (Cu Kα), based on a cell relaxed with GGA-PBE.

Largest 10 diffraction maxima, by angle, 10° ≤ 2θ ≤ 80°:
two_theta, d_spacing, intensity
14.1, 6.289, 72.5
14.2, 6.219, 100.0
22.7, 3.916, 46.8
25.4, 3.513, 35.4
25.8, 3.456, 27.7
26.5, 3.360, 28.2
34.6, 2.595, 25.1
35.8, 2.509, 33.2
35.8, 2.506, 26.9
41.3, 2.186, 37.4

Crystal structure
Cell lengths 7.4226, 7.4226, 16.2815 Å; angles 91.44, 91.44, 65.85 degrees
Atoms (fractional coordinates):
Na (0.1739, 0.8261, 0.7500)
Na (0.2167, 0.7635, 0.4524)
Na (0.2365, 0.7833, 0.0476)
Na (0.2938, 0.3798, 0.2228)
Na (0.3798, 0.2938, 0.7228)
Na (0.6202, 0.7062, 0.2772)
Na (0.7062, 0.6202, 0.7772)
Na (0.7635, 0.2167, 0.9524)
Na (0.7833, 0.2365, 0.5476)
Na (0.8261, 0.1739, 0.2500)
Sn (0.1453, 0.4173, 0.9123)
Sn (0.4173, 0.1453, 0.4123)
Sn (0.5827, 0.8547, 0.5877)
Sn (0.8547, 0.5827, 0.0877)
Se (0.0345, 0.2416, 0.7964)
Se (0.1641, 0.2325, 0.0554)
Se (0.2325, 0.1641, 0.5554)
Se (0.2416, 0.0345, 0.2964)
Se (0.4148, 0.5361, 0.8779)
Se (0.4639, 0.5852, 0.6221)
Se (0.5361, 0.4148, 0.3779)
Se (0.5852, 0.4639, 0.1221)
Se (0.7584, 0.9655, 0.7036)
Se (0.7675, 0.8359, 0.4446)
Se (0.8359, 0.7675, 0.9446)
Se (0.9655, 0.7584, 0.2036)

---

K3Hg5: calculated powder X-ray diffraction pattern (Cu Kα), based on a cell relaxed with GGA-PBE.

Largest 10 diffraction maxima, by angle, 10° ≤ 2θ ≤ 80°:
two_theta, d_spacing, intensity
20.4, 4.351, 95.6
27.2, 3.282, 52.8
28.2, 3.165, 61.8
28.3, 3.148, 59.0
30.5, 2.929, 80.8
30.7, 2.911, 74.9
30.9, 2.894, 74.6
31.5, 2.843, 76.4
31.6, 2.835, 75.9
33.6, 2.667, 100.0

Crystal structure
Cell lengths 9.7160, 9.7160, 9.7694 Å; angles 96.45, 96.45, 140.52 degrees
Atoms (fractional coordinates):
K (0.0000, 0.0000, 0.0000)
K (0.0825, 0.5817, 0.1643)
K (0.4183, 0.9175, 0.8357)
K (0.4999, 0.5001, 0.0000)
K (0.5830, 0.4170, 0.5000)
K (0.9183, 0.0817, 0.5000)
Hg (0.9996, 0.4983, 0.4987)
Hg (0.0073, 0.3282, 0.8344)
Hg (0.1727, 0.0056, 0.6784)
Hg (0.3273, 0.4926, 0.3219)
Hg (0.4909, 0.1702, 0.1644)
Hg (0.5017, 0.0004, 0.5013)
Hg (0.5074, 0.6727, 0.6781)
Hg (0.6718, 0.9927, 0.1656)
Hg (0.8298, 0.5091, 0.8356)
Hg (0.9944, 0.8273, 0.3216)

---

Ca2Pm3Ir2: calculated powder X-ray diffraction pattern (Cu Kα), based on a cell relaxed with GGA-PBE.

Largest 10 diffraction maxima, by angle, 10° ≤ 2θ ≤ 80°:
two_theta, d_spacing, intensity
14.6, 6.054, 100.0
29.9, 2.983, 22.5
31.1, 2.873, 33.2
32.6, 2.750, 26.3
33.0, 2.713, 22.6
33.1, 2.705, 43.3
35.0, 2.564, 43.2
38.0, 2.370, 34.5
38.5, 2.339, 23.9
45.8, 1.980, 23.7

Crystal structure
Cell lengths 12.5213, 3.9604, 9.1167 Å; angles 90.00, 116.83, 90.00 degrees
Atoms (fractional coordinates):
Ca (0.1702, 0.0000, 0.3077)
Ca (0.3298, 0.5000, 0.6923)
Ca (0.6702, 0.5000, 0.3077)
Ca (0.8298, 0.0000, 0.6923)
Pm (0.0000, 0.5000, 0.5000)
Pm (0.1203, 0.5000, 0.9324)
Pm (0.3797, 0.0000, 0.0676)
Pm (0.5000, 0.0000, 0.5000)
Pm (0.6203, 0.0000, 0.9324)
Pm (0.8797, 0.5000, 0.0676)
Ir (0.1696, 0.0000, 0.7431)
Ir (0.3304, 0.5000, 0.2569)
Ir (0.6696, 0.5000, 0.7431)
Ir (0.8304, 0.0000, 0.2569)

---

SmSeS2: calculated powder X-ray diffraction pattern (Cu Kα), based on a cell relaxed with GGA-PBE.

Largest 10 diffraction maxima, by angle, 10° ≤ 2θ ≤ 80°:
two_theta, d_spacing, intensity
22.5, 3.956, 60.3
29.1, 3.071, 54.7
30.6, 2.924, 100.0
34.7, 2.586, 41.0
34.9, 2.574, 51.6
40.7, 2.214, 65.7
41.5, 2.174, 34.3
41.6, 2.168, 34.0
43.1, 2.099, 39.2
61.4, 1.509, 27.4

Crystal structure
Cell lengths 4.3369, 4.3487, 9.5885 Å; angles 90.00, 90.00, 90.00 degrees
Atoms (fractional coordinates):
Sm (0.2500, 0.2500, 0.1948)
Sm (0.7500, 0.7500, 0.8052)
Se (0.2500, 0.2500, 0.8840)
Se (0.7500, 0.7500, 0.1160)
S (0.2500, 0.7500, 0.3976)
S (0.2500, 0.7500, 0.6021)
S (0.7500, 0.2500, 0.3979)
S (0.7500, 0.2500, 0.6024)

---

Rb2Tl2Br2O: calculated powder X-ray diffraction pattern (Cu Kα), based on a cell relaxed with GGA-PBE.

Largest 10 diffraction maxima, by angle, 10° ≤ 2θ ≤ 80°:
two_theta, d_spacing, intensity
11.2, 7.909, 34.4
15.5, 5.726, 17.4
23.2, 3.828, 16.1
27.5, 3.239, 100.0
27.9, 3.203, 24.0
28.1, 3.181, 31.7
30.2, 2.960, 60.9
33.3, 2.692, 20.6
38.4, 2.344, 23.3
48.2, 1.887, 14.4

Crystal structure
Cell lengths 13.1633, 4.6875, 9.0907 Å; angles 90.00, 119.54, 90.00 degrees
Atoms (fractional coordinates):
Rb (0.0454, 0.0000, 0.2932)
Rb (0.4546, 0.5000, 0.7068)
Rb (0.5454, 0.5000, 0.2932)
Rb (0.9546, 0.0000, 0.7068)
Tl (0.1896, 0.5000, 0.0739)
Tl (0.3104, 0.0000, 0.9261)
Tl (0.6896, 0.0000, 0.0739)
Tl (0.8104, 0.5000, 0.9261)
Br (0.1714, 0.5000, 0.6314)
Br (0.3286, 0.0000, 0.3686)
Br (0.6714, 0.0000, 0.6314)
Br (0.8286, 0.5000, 0.3686)
O (0.0000, 0.5000, 0.0000)
O (0.5000, 0.0000, 0.0000)

---

Li3AlH6: calculated powder X-ray diffraction pattern (Cu Kα), based on a cell relaxed with GGA-PBE.

Largest 10 diffraction maxima, by angle, 10° ≤ 2θ ≤ 80°:
two_theta, d_spacing, intensity
22.4, 3.977, 93.2
23.0, 3.873, 100.0
32.3, 2.775, 59.4
39.2, 2.296, 27.9
39.6, 2.276, 68.7
40.7, 2.217, 23.7
51.7, 1.769, 22.4
52.6, 1.741, 30.0
61.7, 1.503, 21.6
62.8, 1.480, 17.6

Crystal structure
Cell lengths 5.5532, 5.5532, 5.5532 Å; angles 91.47, 91.47, 91.47 degrees
Atoms (fractional coordinates):
Li (0.0623, 0.7498, 0.5686)
Li (0.2502, 0.4314, 0.9377)
Li (0.4314, 0.9377, 0.2502)
Li (0.5686, 0.0623, 0.7498)
Li (0.7498, 0.5686, 0.0623)
Li (0.9377, 0.2502, 0.4314)
Al (0.0000, 0.0000, 0.0000)
Al (0.5000, 0.5000, 0.5000)
H (0.0485, 0.7029, 0.9107)
H (0.0893, 0.9515, 0.2971)
H (0.2035, 0.4250, 0.5704)
H (0.2971, 0.0893, 0.9515)
H (0.4250, 0.5704, 0.2035)
H (0.4296, 0.7965, 0.5750)
H (0.5704, 0.2035, 0.4250)
H (0.5750, 0.4296, 0.7965)
H (0.7029, 0.9107, 0.0485)
H (0.7965, 0.5750, 0.4296)
H (0.9107, 0.0485, 0.7029)
H (0.9515, 0.2971, 0.0893)

---

ScHgTe: calculated powder X-ray diffraction pattern (Cu Kα), based on a cell relaxed with GGA-PBE.

Largest 10 diffraction maxima, by angle, 10° ≤ 2θ ≤ 80°:
two_theta, d_spacing, intensity
25.6, 3.478, 14.7
28.3, 3.156, 14.5
29.3, 3.046, 100.0
38.5, 2.337, 30.6
45.2, 2.008, 25.0
50.7, 1.800, 15.2
54.1, 1.694, 14.9
54.8, 1.676, 17.5
60.8, 1.523, 8.0
73.6, 1.287, 14.7

Crystal structure
Cell lengths 4.0156, 4.0156, 6.3118 Å; angles 90.00, 90.00, 120.00 degrees
Atoms (fractional coordinates):
Sc (0.0000, 0.0000, 0.0000)
Hg (0.3333, 0.6667, 0.6940)
Te (0.6667, 0.3333, 0.2588)

---

ZnSn2O5: calculated powder X-ray diffraction pattern (Cu Kα), based on a cell relaxed with GGA-PBE.

Largest 10 diffraction maxima, by angle, 10° ≤ 2θ ≤ 80°:
two_theta, d_spacing, intensity
16.4, 5.405, 100.0
22.7, 3.911, 42.2
27.8, 3.207, 20.2
28.8, 3.103, 21.3
29.3, 3.053, 20.6
30.7, 2.914, 61.1
33.1, 2.703, 36.1
34.2, 2.625, 29.0
34.5, 2.601, 24.9
55.2, 1.663, 20.5

Crystal structure
Cell lengths 3.3269, 5.6752, 12.9194 Å; angles 96.51, 90.05, 106.45 degrees
Atoms (fractional coordinates):
Zn (0.0095, 0.0016, 0.2467)
Zn (0.9905, 0.9984, 0.7533)
Sn (0.2601, 0.5192, 0.6179)
Sn (0.2825, 0.5687, 0.8983)
Sn (0.7175, 0.4313, 0.1017)
Sn (0.7399, 0.4808, 0.3821)
O (0.1139, 0.2179, 0.1360)
O (0.1768, 0.3560, 0.7504)
O (0.3139, 0.6336, 0.4501)
O (0.3262, 0.6579, 0.0615)
O (0.4284, 0.8701, 0.6744)
O (0.5716, 0.1299, 0.3256)
O (0.6738, 0.3421, 0.9385)
O (0.6861, 0.3664, 0.5499)
O (0.8232, 0.6440, 0.2496)
O (0.8861, 0.7821, 0.8640)

---

AlInN: calculated powder X-ray diffraction pattern (Cu Kα), based on a cell relaxed with GGA-PBE.

Largest 10 diffraction maxima, by angle, 10° ≤ 2θ ≤ 80°:
two_theta, d_spacing, intensity
16.1, 5.520, 76.3
29.0, 3.081, 100.0
32.4, 2.760, 48.9
34.6, 2.589, 93.7
37.2, 2.418, 29.5
42.6, 2.124, 52.7
48.8, 1.866, 55.4
50.2, 1.819, 28.6
68.8, 1.364, 23.1
74.4, 1.275, 17.3

Crystal structure
Cell lengths 3.2088, 11.0398, 5.8643 Å; angles 90.00, 90.00, 90.00 degrees
Atoms (fractional coordinates):
Al (0.0000, 0.2281, 0.2500)
Al (0.0000, 0.7719, 0.7500)
Al (0.5000, 0.2719, 0.7500)
Al (0.5000, 0.7281, 0.2500)
In (0.0000, 0.0000, 0.0000)
In (0.0000, 0.0000, 0.5000)
In (0.5000, 0.5000, 0.0000)
In (0.5000, 0.5000, 0.5000)
N (0.0000, 0.1980, 0.7500)
N (0.0000, 0.8020, 0.2500)
N (0.5000, 0.3020, 0.2500)
N (0.5000, 0.6980, 0.7500)

---

OF3: calculated powder X-ray diffraction pattern (Cu Kα), based on a cell relaxed with GGA-PBE.

Largest 10 diffraction maxima, by angle, 10° ≤ 2θ ≤ 80°:
two_theta, d_spacing, intensity
18.6, 4.759, 55.6
25.5, 3.494, 48.7
29.8, 3.003, 60.5
30.5, 2.931, 64.8
32.9, 2.723, 58.3
33.3, 2.690, 65.2
35.9, 2.502, 100.0
37.8, 2.380, 56.3
38.9, 2.318, 39.4
42.9, 2.110, 80.4

Crystal structure
Cell lengths 3.3660, 5.3941, 6.6505 Å; angles 107.78, 90.46, 93.67 degrees
Atoms (fractional coordinates):
O (0.0000, 0.0000, 0.0000)
O (0.0718, 0.4022, 0.4963)
F (0.2677, 0.6133, 0.4627)
F (0.2980, 0.3603, 0.7792)
F (0.4347, 0.1172, 0.5121)
F (0.6918, 0.3048, 0.1511)
F (0.7937, 0.8977, 0.8035)
F (0.9364, 0.8048, 0.1013)

---

LiAg2Hg2: calculated powder X-ray diffraction pattern (Cu Kα), based on a cell relaxed with GGA-PBE.

Largest 10 diffraction maxima, by angle, 10° ≤ 2θ ≤ 80°:
two_theta, d_spacing, intensity
13.8, 6.408, 62.8
26.9, 3.312, 72.7
31.1, 2.872, 32.5
34.7, 2.588, 44.9
36.0, 2.498, 72.1
38.0, 2.367, 32.3
38.8, 2.321, 99.6
39.1, 2.303, 84.7
39.3, 2.293, 100.0
61.5, 1.507, 34.2

Crystal structure
Cell lengths 7.2127, 7.2127, 5.7986 Å; angles 106.27, 106.27, 42.63 degrees
Atoms (fractional coordinates):
Li (0.1010, 0.8990, 0.7500)
Li (0.8990, 0.1010, 0.2500)
Ag (0.3250, 0.4876, 0.0489)
Ag (0.4876, 0.3250, 0.5489)
Ag (0.5124, 0.6750, 0.4511)
Ag (0.6750, 0.5124, 0.9511)
Hg (0.0996, 0.2683, 0.6569)
Hg (0.2683, 0.0996, 0.1569)
Hg (0.7317, 0.9004, 0.8431)
Hg (0.9004, 0.7317, 0.3431)